(1)
Fe3O2F4: theoretical X-ray powder pattern (Cu Kα), based on the PBE+U geometry in the Materials Project.
Lines closer than 0.1° are merged.

The 10 most intense peaks (2θ = 10–90°), in order of falling intensity:
(1 1 -1), 26.27 deg, intensity 1000
(1 1 2), 33.88 deg, intensity 404
(2 2 1), 51.36 deg, intensity 302
(2 2 -2), 54.07 deg, intensity 172
(0 2 3), 51.44 deg, intensity 153
(1 1 -4), 51.63 deg, intensity 143
(0 0 3), 34.03 deg, intensity 130
(1 3 2), 65.20 deg, intensity 111
(2 1 1), 38.83 deg, intensity 105
(0 1 3), 38.98 deg, intensity 102

Structure:
Cell lengths 5.7495, 4.8117, 7.9176 Å; angles 90.00, 93.45, 90.00 degrees
Space group P2_1 (No. 4)
One atom of each set of equivalent atoms:
Fe (0.0684, 0.0000, 0.3547)
Fe (0.2802, 0.4938, 0.0016)
Fe (0.4056, 0.0346, 0.6748)
O (0.1111, 0.2077, 0.5607)
O (0.4637, 0.2107, 0.9077)
F (0.0420, 0.8166, 0.0999)
F (0.2113, 0.6950, 0.7730)
F (0.2684, 0.3032, 0.2295)
F (0.3724, 0.8154, 0.4317)

(2)
Fe3O2F4: theoretical X-ray powder pattern (Cu Kα), based on the PBE+U geometry in the Materials Project.
Lines closer than 0.1° are merged.

The 10 most intense peaks (2θ = 10–90°), in order of falling intensity:
(1 1 3), 34.53 deg, intensity 1000
(0 2 0), 26.94 deg, intensity 901
(2 0 0), 27.05 deg, intensity 893
(1 3 3), 52.64 deg, intensity 545
(3 1 3), 52.77 deg, intensity 528
(3 3 3), 67.17 deg, intensity 358
(2 0 -3), 39.68 deg, intensity 278
(2 0 6), 66.15 deg, intensity 214
(0 0 6), 59.12 deg, intensity 182
(0 4 0), 55.53 deg, intensity 175

Structure:
Cell lengths 6.5927, 6.6194, 9.3763 Å; angles 90.00, 90.08, 90.00 degrees
Space group C2 (No. 5)
One atom of each set of equivalent atoms:
Fe (0.0000, 0.0000, 0.0000)
Fe (0.0000, 0.4853, 0.5000)
Fe (0.0030, 0.0232, 0.3259)
Fe (0.0314, 0.4936, 0.8225)
O (0.0016, 0.3011, 0.6720)
O (0.1819, 0.0091, 0.1701)
F (0.0000, 0.3152, 0.0000)
F (0.0000, 0.6852, 0.0000)
F (0.0036, 0.7153, 0.6691)
F (0.1892, 0.0101, 0.5034)
F (0.2137, 0.0101, 0.8279)

(3)
Fe6O5F7: theoretical X-ray powder pattern (Cu Kα), based on the PBE+U geometry in the Materials Project.
Lines closer than 0.1° are merged.

The 10 most intense peaks (2θ = 10–90°), in order of falling intensity:
(1 1 1), 25.76 deg, intensity 1000
(-1 1 1), 26.87 deg, intensity 892
(0 2 -1), 34.26 deg, intensity 499
(1 -1 2), 34.48 deg, intensity 497
(1 1 4), 51.43 deg, intensity 300
(1 3 0), 50.95 deg, intensity 288
(1 -3 0), 52.44 deg, intensity 269
(0 2 -4), 59.41 deg, intensity 176
(-2 2 2), 55.36 deg, intensity 169
(0 4 1), 65.58 deg, intensity 166

Structure:
Cell lengths 4.7938, 5.7279, 7.8367 Å; angles 85.48, 88.98, 87.71 degrees
Space group P1 (No. 1)
One atom of each set of equivalent atoms:
Fe (0.0000, 0.0000, 0.0000)
Fe (0.0246, 0.6813, 0.3360)
Fe (0.0750, 0.3490, 0.6595)
Fe (0.4583, 0.8461, 0.6717)
Fe (0.5387, 0.1731, 0.3274)
Fe (0.5681, 0.5298, 0.0082)
O (0.2210, 0.6390, 0.5554)
O (0.3296, 0.8031, 0.9042)
O (0.3357, 0.1413, 0.5642)
O (0.7286, 0.2255, 0.0876)
O (0.8310, 0.7216, 0.1170)
F (0.2145, 0.9730, 0.2339)
F (0.2207, 0.3068, 0.8965)
F (0.3219, 0.4869, 0.2246)
F (0.7297, 0.8643, 0.4527)
F (0.7313, 0.5461, 0.7635)
F (0.8386, 0.3855, 0.4374)
F (0.8411, 0.0540, 0.7614)

(4)
Fe3O5F: theoretical X-ray powder pattern (Cu Kα), based on the PBE+U geometry in the Materials Project.
Lines closer than 0.1° are merged.

The 10 most intense peaks (2θ = 10–90°), in order of falling intensity:
(1 1 2), 27.15 deg, intensity 1000
(2 1 0), 35.54 deg, intensity 258
(2 3 2), 53.40 deg, intensity 217
(2 -2 0), 56.00 deg, intensity 160
(-2 1 2), 53.80 deg, intensity 147
(1 2 0), 35.38 deg, intensity 132
(1 0 -2), 35.72 deg, intensity 130
(-1 3 2), 63.32 deg, intensity 90
(2 2 -2), 61.64 deg, intensity 79
(-1 2 4), 68.44 deg, intensity 78

Structure:
Cell lengths 5.5413, 5.5580, 7.2022 Å; angles 71.77, 71.48, 72.58 degrees
Space group P1 (No. 1)
One atom of each set of equivalent atoms:
Fe (0.0000, 0.0000, 0.0000)
Fe (0.0107, 0.0190, 0.4957)
Fe (0.3314, 0.3310, 0.1570)
Fe (0.3635, 0.3099, 0.6765)
Fe (0.6616, 0.6674, 0.8392)
Fe (0.6830, 0.6855, 0.3369)
O (0.1106, 0.0962, 0.7088)
O (0.2259, 0.2200, 0.9661)
O (0.3045, 0.6861, 0.0065)
O (0.3692, 0.9826, 0.3355)
O (0.5771, 0.5628, 0.6269)
O (0.6613, 0.0170, 0.6642)
O (0.6876, 0.3094, 0.0018)
O (0.7749, 0.7757, 0.0390)
O (0.9118, 0.9163, 0.2910)
O (0.9851, 0.3772, 0.3306)
F (0.0470, 0.6297, 0.6629)
F (0.4443, 0.4368, 0.3706)

(5)
Fe6O5F7: theoretical X-ray powder pattern (Cu Kα), based on the PBE+U geometry in the Materials Project.
Lines closer than 0.1° are merged.

The 10 most intense peaks (2θ = 10–90°), in order of falling intensity:
(1 1 2), 34.42 deg, intensity 1000
(0 2 0), 26.65 deg, intensity 971
(2 0 -2), 26.50 deg, intensity 970
(1 1 -4), 52.17 deg, intensity 620
(5 3 -2), 66.18 deg, intensity 340
(1 3 2), 52.26 deg, intensity 302
(5 1 -2), 51.99 deg, intensity 240
(0 0 3), 39.50 deg, intensity 239
(1 3 -4), 66.35 deg, intensity 232
(0 4 0), 54.89 deg, intensity 186

Structure:
Cell lengths 9.1863, 6.6901, 7.4048 Å; angles 90.00, 112.35, 90.00 degrees
Space group Cm (No. 8)
One atom of each set of equivalent atoms:
Fe (0.0000, 0.0000, 0.0000)
Fe (0.0094, 0.0000, 0.4942)
Fe (0.1424, 0.5000, 0.1678)
Fe (0.1931, 0.5000, 0.6482)
Fe (0.3298, 0.0000, 0.3315)
Fe (0.3577, 0.0000, 0.8480)
O (0.0023, 0.3024, 0.9989)
O (0.0601, 0.5000, 0.3752)
O (0.1137, 0.0000, 0.2916)
O (0.4091, 0.5000, 0.7063)
F (0.1881, 0.1992, 0.6817)
F (0.2390, 0.0000, 0.0310)
F (0.2644, 0.5000, 0.9568)
F (0.3242, 0.3039, 0.3175)
F (0.4381, 0.0000, 0.6290)

(6)
Fe6O5F7: theoretical X-ray powder pattern (Cu Kα), based on the PBE+U geometry in the Materials Project.
Lines closer than 0.1° are merged.

The 10 most intense peaks (2θ = 10–90°), in order of falling intensity:
(0 2 0), 25.90 deg, intensity 1000
(2 0 0), 26.96 deg, intensity 965
(1 3 3), 51.41 deg, intensity 626
(1 1 3), 34.50 deg, intensity 537
(1 1 -3), 34.38 deg, intensity 525
(3 3 -3), 65.92 deg, intensity 301
(3 1 3), 52.74 deg, intensity 289
(3 1 -3), 52.47 deg, intensity 245
(3 3 3), 66.14 deg, intensity 211
(0 2 3), 39.05 deg, intensity 195

Structure:
Cell lengths 6.6138, 6.8794, 9.3264 Å; angles 90.00, 90.31, 90.00 degrees
Space group C2 (No. 5)
One atom of each set of equivalent atoms:
Fe (0.0000, 0.0000, 0.0000)
Fe (0.0000, 0.4734, 0.5000)
Fe (0.0121, 0.5053, 0.1551)
Fe (0.0308, 0.0116, 0.6595)
O (0.0000, 0.1902, 0.5000)
O (0.1812, 0.5009, 0.3350)
O (0.1951, 0.5045, 0.9953)
F (0.0000, 0.8012, 0.5000)
F (0.0039, 0.2041, 0.8195)
F (0.0039, 0.8037, 0.8147)
F (0.2110, 0.4980, 0.6657)

(7)
Fe5O2F8: theoretical X-ray powder pattern (Cu Kα), based on the PBE+U geometry in the Materials Project.
Lines closer than 0.1° are merged.

The 10 most intense peaks (2θ = 10–90°), in order of falling intensity:
(0 2 -1), 33.67 deg, intensity 1000
(1 1 2), 26.01 deg, intensity 922
(-1 1 2), 26.41 deg, intensity 907
(-1 1 7), 51.43 deg, intensity 411
(2 0 5), 51.02 deg, intensity 302
(0 2 9), 65.08 deg, intensity 299
(1 3 1), 50.92 deg, intensity 289
(1 2 -1), 38.52 deg, intensity 185
(2 2 4), 53.49 deg, intensity 181
(0 2 -6), 57.68 deg, intensity 180

Structure:
Cell lengths 4.8080, 5.7806, 13.5738 Å; angles 78.52, 89.44, 89.24 degrees
Space group P1 (No. 1)
One atom of each set of equivalent atoms:
Fe (0.0000, 0.0000, 0.0000)
Fe (0.0012, 0.5981, 0.1987)
Fe (0.4543, 0.5272, 0.0062)
Fe (0.4726, 0.9092, 0.8112)
Fe (0.4763, 0.1303, 0.1993)
Fe (0.5045, 0.6896, 0.3987)
Fe (0.5319, 0.3247, 0.5979)
Fe (0.9723, 0.7894, 0.6048)
Fe (0.9772, 0.2131, 0.4090)
Fe (0.9795, 0.4106, 0.7976)
O (0.2876, 0.8100, 0.9481)
O (0.3034, 0.4151, 0.1402)
O (0.6703, 0.3782, 0.4677)
O (0.7854, 0.5113, 0.6588)
F (0.1635, 0.5263, 0.3418)
F (0.1803, 0.1030, 0.5502)
F (0.1871, 0.7454, 0.7340)
F (0.1945, 0.9342, 0.1491)
F (0.1970, 0.3283, 0.9391)
F (0.2824, 0.6215, 0.5457)
F (0.2983, 0.0330, 0.3395)
F (0.2977, 0.2415, 0.7307)
F (0.6795, 0.8124, 0.2548)
F (0.6876, 0.5733, 0.8732)
F (0.6903, 0.9996, 0.6595)
F (0.6899, 0.1862, 0.0635)
F (0.7797, 0.6789, 0.0655)
F (0.7848, 0.2727, 0.2647)
F (0.7877, 0.0899, 0.8594)
F (0.8029, 0.8847, 0.4681)

(8)
Fe4O7F: theoretical X-ray powder pattern (Cu Kα), based on the PBE+U geometry in the Materials Project.
Lines closer than 0.1° are merged.

The 10 most intense peaks (2θ = 10–90°), in order of falling intensity:
(2 2 -1), 27.25 deg, intensity 1000
(4 0 0), 35.65 deg, intensity 523
(4 4 0), 53.78 deg, intensity 437
(4 4 -2), 56.22 deg, intensity 161
(2 6 1), 68.34 deg, intensity 152
(6 2 -1), 53.87 deg, intensity 149
(4 2 0), 40.79 deg, intensity 133
(6 2 1), 68.82 deg, intensity 113
(0 4 0), 38.92 deg, intensity 105
(4 0 2), 61.81 deg, intensity 79

Structure:
Cell lengths 11.0170, 9.2614, 5.5191 Å; angles 90.00, 114.03, 90.00 degrees
Space group Cc (No. 9)
One atom of each set of equivalent atoms:
Fe (0.0000, 0.1195, 0.0000)
Fe (0.0012, 0.3802, 0.4655)
Fe (0.2429, 0.3790, 0.9760)
Fe (0.2480, 0.1251, 0.4796)
O (0.0690, 0.4682, 0.8086)
O (0.0785, 0.0263, 0.3446)
O (0.1693, 0.2811, 0.6283)
O (0.1729, 0.2207, 0.1389)
O (0.3258, 0.0322, 0.8243)
O (0.3264, 0.4712, 0.3264)
O (0.4205, 0.2225, 0.6325)
F (0.4233, 0.2777, 0.1322)

(9)
Fe6O5F7: theoretical X-ray powder pattern (Cu Kα), based on the PBE+U geometry in the Materials Project.
Lines closer than 0.1° are merged.

The 10 most intense peaks (2θ = 10–90°), in order of falling intensity:
(1 1 1), 25.70 deg, intensity 1000
(-1 1 1), 27.09 deg, intensity 942
(0 2 -1), 34.48 deg, intensity 751
(2 2 2), 52.80 deg, intensity 442
(1 3 0), 51.31 deg, intensity 321
(0 0 3), 34.31 deg, intensity 270
(0 4 1), 66.03 deg, intensity 257
(0 2 -4), 59.50 deg, intensity 174
(1 1 4), 50.96 deg, intensity 170
(-2 2 2), 55.86 deg, intensity 154

Structure:
Cell lengths 4.7675, 5.6956, 7.8722 Å; angles 85.20, 88.15, 87.55 degrees
Space group P1 (No. 1)
One atom of each set of equivalent atoms:
Fe (0.0000, 0.0000, 0.0000)
Fe (0.0084, 0.6792, 0.3179)
Fe (0.0599, 0.3443, 0.6567)
Fe (0.4645, 0.5225, 0.9817)
Fe (0.4766, 0.8477, 0.6678)
Fe (0.5096, 0.1792, 0.3288)
O (0.1739, 0.0558, 0.7764)
O (0.2006, 0.7173, 0.0986)
O (0.2046, 0.3828, 0.4196)
O (0.3049, 0.5434, 0.7654)
O (0.8007, 0.9788, 0.2296)
F (0.2973, 0.8896, 0.4212)
F (0.3093, 0.2192, 0.0964)
F (0.6930, 0.1493, 0.5586)
F (0.6947, 0.4751, 0.2198)
F (0.7026, 0.8015, 0.9039)
F (0.7924, 0.3174, 0.9023)
F (0.8130, 0.6387, 0.5542)

(10)
Fe4OF7: theoretical X-ray powder pattern (Cu Kα), based on the PBE+U geometry in the Materials Project.
Lines closer than 0.1° are merged.

The 10 most intense peaks (2θ = 10–90°), in order of falling intensity:
(1 2 2), 33.61 deg, intensity 1000
(0 0 4), 26.16 deg, intensity 917
(2 0 0), 25.82 deg, intensity 883
(3 2 2), 50.72 deg, intensity 578
(1 2 6), 51.11 deg, intensity 577
(3 2 6), 64.65 deg, intensity 410
(2 2 0), 38.42 deg, intensity 208
(4 0 0), 53.09 deg, intensity 206
(0 2 4), 38.65 deg, intensity 177
(0 0 8), 53.83 deg, intensity 174

Structure:
Cell lengths 6.8998, 6.3854, 13.6240 Å; angles 90.00, 90.00, 90.00 degrees
Space group Amm2 (No. 38)
One atom of each set of equivalent atoms:
Fe (0.0000, 0.0000, 0.0000)
Fe (0.0000, 0.0000, 0.4979)
Fe (0.0000, 0.2285, 0.7394)
Fe (0.5000, 0.0000, 0.2502)
Fe (0.5000, 0.0000, 0.7488)
Fe (0.5000, 0.2301, 0.4901)
O (0.0000, 0.0000, 0.6452)
O (0.5000, 0.0000, 0.3967)
F (0.0000, 0.0000, 0.1494)
F (0.0000, 0.0000, 0.3402)
F (0.0000, 0.0000, 0.8500)
F (0.2067, 0.2448, 0.9950)
F (0.2936, 0.2468, 0.7452)
F (0.5000, 0.0000, 0.0910)
F (0.5000, 0.0000, 0.5997)
F (0.5000, 0.0000, 0.8984)